1.
K2HgAsCl6: theoretical X-ray diffraction stick pattern (λ = 1.5418 Å (Cu Kα)), based on a crystal structure in Alexandria, relaxed with GGA-PBE.
Peak positions follow from Bragg's law for the DFT cell and can differ from measured ones.

Structural model:
Lattice parameters (Å, degrees): 10.5876 10.5540 7.5042 90.00 134.75 90.00
Space group Cm (No. 8)
Asymmetric unit:
K1 0.0000 0.2494 0.0000 x4
Hg1 0.4984 0.5000 0.4976 x2
As1 0.4989 0.0000 0.4979 x2
Cl1 0.1571 0.5000 0.9495 x2
Cl2 0.2057 0.0000 0.3672 x2
Cl3 0.2928 0.5000 0.6300 x2
Cl4 0.3401 0.0000 0.0461 x2
Cl5 0.4982 0.2400 0.4968 x4

Principal peaks in the range 5 to 70 degrees two-theta, most intense first:
hkl 2 0 0, 23.70°, rel. 100; hkl 0 2 0, 16.78°, rel. 80; hkl 4 2 -1, 41.78°, rel. 42; hkl 0 0 1, 16.63°, rel. 37; hkl 2 2 -1, 23.81°, rel. 37; hkl 0 4 0, 33.98°, rel. 35; hkl 3 1 -2, 27.97°, rel. 31; hkl 2 2 -3, 41.63°, rel. 28; hkl 1 1 -1, 14.47°, rel. 28; hkl 0 0 2, 33.63°, rel. 26



2.
Ce4PuIr5: theoretical X-ray diffraction stick pattern (λ = 1.5418 Å (Cu Kα)), based on a crystal structure in Alexandria, relaxed with GGA-PBE.
Peak positions follow from Bragg's law for the DFT cell and can differ from measured ones.

Structural model:
Lattice parameters (Å, degrees): 9.0045 9.0045 5.6772 90.00 90.00 90.00
Space group I4/m (No. 87)
Asymmetric unit:
Ce1 0.0986 0.7001 0.0000 x8
Pu1 0.0000 0.0000 0.5000 x2
Ir1 0.0000 0.0000 0.0000 x2
Ir2 0.0989 0.7033 0.5000 x8

Principal peaks in the range 5 to 70 degrees two-theta, most intense first:
hkl 3 1 2, 45.07°, rel. 100; hkl 3 1 0, 31.42°, rel. 89; hkl 0 0 2, 31.52°, rel. 44; hkl 2 4 2, 55.99°, rel. 35; hkl 6 2 0, 65.57°, rel. 11; hkl 0 0 4, 65.80°, rel. 5; hkl 1 2 1, 27.15°, rel. 3; hkl 1 0 1, 18.48°, rel. 2; hkl 1 1 0, 13.91°, rel. 2; hkl 5 0 1, 53.37°, rel. 1